# Ac2NdHo6
Simulated X-ray powder pattern, Cu Kα (weighted mean of Kα1 and Kα2). Input: a PBE-relaxed structure.
Peak positions follow from Bragg's law for the DFT cell and can differ from measured ones.

Main lines, sorted by position (10 to 90 degrees two-theta):
Position (°2θ), Rel. int.
29.7, 55.5
30.0, 100.0
30.2, 44.9
34.7, 66.4
34.9, 32.1
49.7, 24.9
51.5, 22.7
54.6, 18.5
59.0, 22.0
67.1, 21.6

Atomic structure:
Cell lengths 6.3005, 6.3005, 9.0200 Å; angles 90.00, 90.00, 120.42 degrees
Positions (direct):
Ac 0.0000 0.5000 0.1583
Ac 0.5000 0.0000 0.8417
Nd 0.0000 0.0000 0.5000
Ho 0.1735 0.3285 0.8254
Ho 0.3285 0.1735 0.1746
Ho 0.3378 0.6622 0.5000
Ho 0.6622 0.3378 0.5000
Ho 0.6715 0.8265 0.1746
Ho 0.8265 0.6715 0.8254